# 1
Starting from a structure optimized by DFT (PBE), the powder diffraction line list of Sr4Ti5Si4O22 was calculated for a wavelength of 1.5418 Å.
No peak broadening, texture or thermal motion is included.

Crystal structure
a = 7.6180 Å, b = 7.6180 Å, c = 12.0077 Å
α = 112.59°, β = 112.59°, γ = 43.80°
Positions (direct):
Sr1 0.0462 0.0462 0.2396
Sr2 0.2349 0.2349 0.7673
Sr3 0.7651 0.7651 0.2327
Sr4 0.9538 0.9538 0.7604
Ti1 0.2424 0.7576 0.5000
Ti2 0.2745 0.2745 0.5008
Ti3 0.5000 0.5000 0.0000
Ti4 0.7255 0.7255 0.4992
Ti5 0.7576 0.2424 0.5000
Si1 0.1575 0.1575 0.0465
Si2 0.4057 0.4057 0.2294
Si3 0.5943 0.5943 0.7706
Si4 0.8425 0.8425 0.9535
O1 0.0421 0.5418 0.6179
O2 0.0920 0.0920 0.5000
O3 0.1336 0.6547 0.9182
O4 0.1467 0.1467 0.9094
O5 0.2022 0.6717 0.3178
O6 0.2787 0.2787 0.1552
O7 0.3283 0.7978 0.6822
O8 0.3453 0.8664 0.0818
O9 0.4048 0.4048 0.4990
O10 0.4582 0.9579 0.3821
O11 0.4693 0.4693 0.1428
O12 0.5307 0.5307 0.8572
O13 0.5418 0.0421 0.6179
O14 0.5952 0.5952 0.5010
O15 0.6547 0.1336 0.9182
O16 0.6717 0.2022 0.3178
O17 0.7213 0.7213 0.8448
O18 0.7978 0.3283 0.6822
O19 0.8533 0.8533 0.0906
O20 0.8664 0.3453 0.0818
O21 0.9080 0.9080 0.5000
O22 0.9579 0.4582 0.3821

Top 10 peaks for 10 to 90 degrees two-theta, in order of rising 2θ:
- 27.73 deg, rel. 20
- 28.41 deg, rel. 27
- 29.31 deg, rel. 78
- 29.81 deg, rel. 100
- 31.49 deg, rel. 33
- 32.77 deg, rel. 35
- 35.57 deg, rel. 21
- 40.89 deg, rel. 25
- 41.03 deg, rel. 28
- 46.11 deg, rel. 37


# 2
Starting from a structure optimized by DFT (PBE), the powder diffraction line list of CaYCu3Se4 was calculated for a wavelength of 1.5418 Å.
No peak broadening, texture or thermal motion is included.

Crystal structure
a = 6.1576 Å, b = 6.1576 Å, c = 6.1576 Å
α = 90.00°, β = 90.00°, γ = 90.00°
Positions (direct):
Ca1 0.0000 0.0000 0.0000
Y1 0.5000 0.5000 0.5000
Cu1 0.0000 0.5000 0.5000
Cu2 0.5000 0.0000 0.5000
Cu3 0.5000 0.5000 0.0000
Se1 0.2568 0.2568 0.7432
Se2 0.2568 0.7432 0.2568
Se3 0.7432 0.2568 0.2568
Se4 0.7432 0.7432 0.7432

Top 10 peaks for 10 to 90 degrees two-theta, in order of rising 2θ:
- 14.38 deg, rel. 28
- 25.05 deg, rel. 77
- 32.51 deg, rel. 10
- 41.48 deg, rel. 100
- 44.12 deg, rel. 7
- 49.07 deg, rel. 35
- 60.10 deg, rel. 16
- 66.15 deg, rel. 14
- 75.66 deg, rel. 31
- 81.17 deg, rel. 10


# 3
Starting from a structure optimized by DFT (PBE), the powder diffraction line list of NaO was calculated for a wavelength of 1.5418 Å.
No peak broadening, texture or thermal motion is included.

Crystal structure
a = 4.6278 Å, b = 4.6278 Å, c = 3.5176 Å
α = 90.00°, β = 90.00°, γ = 137.73°
Positions (direct):
Na1 0.1231 0.8769 0.7500
Na2 0.8769 0.1231 0.2500
O1 0.4061 0.5939 0.7500
O2 0.5939 0.4061 0.2500

Top 10 peaks for 10 to 90 degrees two-theta, in order of rising 2θ:
- 20.58 deg, rel. 11
- 38.62 deg, rel. 100
- 41.43 deg, rel. 11
- 41.86 deg, rel. 37
- 49.18 deg, rel. 74
- 51.99 deg, rel. 22
- 55.03 deg, rel. 18
- 68.87 deg, rel. 13
- 71.46 deg, rel. 11
- 79.11 deg, rel. 10


# 4
Starting from a structure optimized by DFT (PBE), the powder diffraction line list of Ca3Ge13Ir4 was calculated for a wavelength of 1.5418 Å.
No peak broadening, texture or thermal motion is included.

Crystal structure
a = 9.1064 Å, b = 9.1064 Å, c = 9.1064 Å
α = 90.00°, β = 90.00°, γ = 90.00°
Positions (direct):
Ca1 0.0000 0.2500 0.5000
Ca2 0.0000 0.7500 0.5000
Ca3 0.2500 0.5000 0.0000
Ca4 0.5000 0.0000 0.2500
Ca5 0.5000 0.0000 0.7500
Ca6 0.7500 0.5000 0.0000
Ge1 0.0000 0.0000 0.0000
Ge2 0.0000 0.2987 0.1437
Ge3 0.0000 0.2987 0.8563
Ge4 0.0000 0.7013 0.1437
Ge5 0.0000 0.7013 0.8563
Ge6 0.1437 0.0000 0.2987
Ge7 0.1437 0.0000 0.7013
Ge8 0.2013 0.5000 0.3563
Ge9 0.2013 0.5000 0.6437
Ge10 0.2987 0.1437 0.0000
Ge11 0.2987 0.8563 0.0000
Ge12 0.3563 0.2013 0.5000
Ge13 0.3563 0.7987 0.5000
Ge14 0.5000 0.3563 0.2013
Ge15 0.5000 0.3563 0.7987
Ge16 0.5000 0.5000 0.5000
Ge17 0.5000 0.6437 0.2013
Ge18 0.5000 0.6437 0.7987
Ge19 0.6437 0.2013 0.5000
Ge20 0.6437 0.7987 0.5000
Ge21 0.7013 0.1437 0.0000
Ge22 0.7013 0.8563 0.0000
Ge23 0.7987 0.5000 0.3563
Ge24 0.7987 0.5000 0.6437
Ge25 0.8563 0.0000 0.2987
Ge26 0.8563 0.0000 0.7013
Ir1 0.2500 0.2500 0.2500
Ir2 0.2500 0.2500 0.7500
Ir3 0.2500 0.7500 0.2500
Ir4 0.2500 0.7500 0.7500
Ir5 0.7500 0.2500 0.2500
Ir6 0.7500 0.2500 0.7500
Ir7 0.7500 0.7500 0.2500
Ir8 0.7500 0.7500 0.7500

Top 10 peaks for 10 to 90 degrees two-theta, in order of rising 2θ:
- 19.50 deg, rel. 100
- 27.71 deg, rel. 56
- 34.11 deg, rel. 32
- 35.54 deg, rel. 69
- 36.93 deg, rel. 24
- 39.59 deg, rel. 47
- 44.49 deg, rel. 70
- 49.01 deg, rel. 94
- 68.33 deg, rel. 27
- 78.62 deg, rel. 28


# 5
Starting from a structure optimized by DFT (PBE), the powder diffraction line list of TlI was calculated for a wavelength of 1.5418 Å.
No peak broadening, texture or thermal motion is included.

Crystal structure
a = 7.0873 Å, b = 7.0873 Å, c = 5.3078 Å
α = 90.00°, β = 90.00°, γ = 140.92°
Positions (direct):
Tl1 0.1140 0.8860 0.7500
Tl2 0.8860 0.1140 0.2500
I1 0.3674 0.6326 0.7500
I2 0.6326 0.3674 0.2500

Top 10 peaks for 10 to 90 degrees two-theta, in order of rising 2θ:
- 26.07 deg, rel. 100
- 26.69 deg, rel. 47
- 32.33 deg, rel. 67
- 33.77 deg, rel. 27
- 37.96 deg, rel. 20
- 42.41 deg, rel. 20
- 43.56 deg, rel. 25
- 47.01 deg, rel. 20
- 51.71 deg, rel. 17
- 59.13 deg, rel. 21


# 6
Starting from a structure optimized by DFT (PBE), the powder diffraction line list of Cs5GeAs3 was calculated for a wavelength of 1.5418 Å.
No peak broadening, texture or thermal motion is included.

Crystal structure
a = 14.9149 Å, b = 6.1225 Å, c = 16.3166 Å
α = 90.00°, β = 90.00°, γ = 90.00°
Positions (direct):
Cs1 0.0510 0.2500 0.1546
Cs2 0.0647 0.2500 0.4492
Cs3 0.1191 0.2500 0.6861
Cs4 0.1456 0.7500 0.0475
Cs5 0.2221 0.7500 0.7940
Cs6 0.2779 0.2500 0.2940
Cs7 0.3544 0.2500 0.5475
Cs8 0.3809 0.7500 0.1861
Cs9 0.4353 0.7500 0.9492
Cs10 0.4490 0.7500 0.6546
Cs11 0.5510 0.2500 0.3454
Cs12 0.5647 0.2500 0.0508
Cs13 0.6191 0.2500 0.8139
Cs14 0.6456 0.7500 0.4525
Cs15 0.7221 0.7500 0.7060
Cs16 0.7779 0.2500 0.2060
Cs17 0.8544 0.2500 0.9525
Cs18 0.8809 0.7500 0.3139
Cs19 0.9353 0.7500 0.5508
Cs20 0.9490 0.7500 0.8454
Ge1 0.2392 0.7500 0.4315
Ge2 0.2608 0.2500 0.9315
Ge3 0.7392 0.7500 0.0685
Ge4 0.7608 0.2500 0.5685
As1 0.1012 0.2500 0.9115
As2 0.1340 0.7500 0.3187
As3 0.1900 0.7500 0.5717
As4 0.3100 0.2500 0.0717
As5 0.3660 0.2500 0.8187
As6 0.3988 0.7500 0.4115
As7 0.6012 0.2500 0.5885
As8 0.6340 0.7500 0.1813
As9 0.6900 0.7500 0.9283
As10 0.8100 0.2500 0.4283
As11 0.8660 0.2500 0.6813
As12 0.8988 0.7500 0.0885

Top 10 peaks for 10 to 90 degrees two-theta, in order of rising 2θ:
- 24.93 deg, rel. 21
- 26.94 deg, rel. 100
- 28.02 deg, rel. 61
- 28.33 deg, rel. 42
- 28.56 deg, rel. 40
- 29.17 deg, rel. 72
- 31.64 deg, rel. 22
- 31.92 deg, rel. 24
- 50.37 deg, rel. 17
- 51.05 deg, rel. 20


# 7
Starting from a structure optimized by DFT (PBE), the powder diffraction line list of MgSc2Nb2O8 was calculated for a wavelength of 1.5418 Å.
No peak broadening, texture or thermal motion is included.

Crystal structure
a = 5.1307 Å, b = 5.9548 Å, c = 5.1417 Å
α = 90.00°, β = 92.64°, γ = 90.00°
Positions (direct):
Mg1 0.0000 0.0000 0.0000
Sc1 0.5000 0.2605 0.5000
Sc2 0.5000 0.9275 0.0000
Nb1 0.0000 0.4662 0.0000
Nb2 0.0000 0.7243 0.5000
O1 0.2158 0.7399 0.1631
O2 0.2329 0.4750 0.6651
O3 0.2455 0.9672 0.6801
O4 0.2558 0.2247 0.1519
O5 0.7442 0.2247 0.8481
O6 0.7545 0.9672 0.3199
O7 0.7671 0.4750 0.3349
O8 0.7842 0.7399 0.8369

Top 10 peaks for 10 to 90 degrees two-theta, in order of rising 2θ:
- 17.30 deg, rel. 65
- 22.89 deg, rel. 100
- 28.32 deg, rel. 77
- 29.31 deg, rel. 70
- 34.83 deg, rel. 59
- 34.96 deg, rel. 50
- 39.52 deg, rel. 46
- 49.59 deg, rel. 45
- 50.84 deg, rel. 50
- 62.59 deg, rel. 30


# 8
Starting from a structure optimized by DFT (PBE), the powder diffraction line list of Mn2InSnPd4 was calculated for a wavelength of 1.5418 Å.
No peak broadening, texture or thermal motion is included.

Crystal structure
a = 7.8903 Å, b = 7.8903 Å, c = 7.8903 Å
α = 33.41°, β = 33.41°, γ = 33.41°
Positions (direct):
Mn1 0.2504 0.2504 0.2504
Mn2 0.7496 0.7496 0.7496
In1 0.0000 0.0000 0.0000
Sn1 0.5000 0.5000 0.5000
Pd1 0.1252 0.1252 0.1252
Pd2 0.3753 0.3753 0.3753
Pd3 0.6247 0.6247 0.6247
Pd4 0.8748 0.8748 0.8748

Top 10 peaks for 10 to 90 degrees two-theta, in order of rising 2θ:
- 23.91 deg, rel. 3
- 24.01 deg, rel. 9
- 39.61 deg, rel. 100
- 39.74 deg, rel. 99
- 46.93 deg, rel. 5
- 57.36 deg, rel. 33
- 71.78 deg, rel. 17
- 72.08 deg, rel. 49
- 85.32 deg, rel. 11
- 85.66 deg, rel. 11


# 9
Starting from a structure optimized by DFT (PBE), the powder diffraction line list of CsBiSe2 was calculated for a wavelength of 1.5418 Å.
No peak broadening, texture or thermal motion is included.

Crystal structure
a = 4.4021 Å, b = 4.4021 Å, c = 9.0810 Å
α = 90.00°, β = 90.00°, γ = 120.00°
Positions (direct):
Cs1 0.0000 0.0000 0.0000
Bi1 0.3333 0.6667 0.5532
Se1 0.0000 0.0000 0.3836
Se2 0.6667 0.3333 0.7390

Top 10 peaks for 10 to 90 degrees two-theta, in order of rising 2θ:
- 19.55 deg, rel. 22
- 25.34 deg, rel. 100
- 30.62 deg, rel. 74
- 37.96 deg, rel. 59
- 41.00 deg, rel. 48
- 45.81 deg, rel. 15
- 48.82 deg, rel. 17
- 52.03 deg, rel. 17
- 57.10 deg, rel. 18
- 72.67 deg, rel. 18


# 10
Starting from a structure optimized by DFT (PBE), the powder diffraction line list of Er2In was calculated for a wavelength of 1.5418 Å.
No peak broadening, texture or thermal motion is included.

Crystal structure
a = 5.3517 Å, b = 5.3517 Å, c = 6.6772 Å
α = 90.00°, β = 90.00°, γ = 120.00°
Positions (direct):
Er1 0.0000 0.0000 0.0000
Er2 0.0000 0.0000 0.5000
Er3 0.3333 0.6667 0.2500
Er4 0.6667 0.3333 0.7500
In1 0.3333 0.6667 0.7500
In2 0.6667 0.3333 0.2500

Top 10 peaks for 10 to 90 degrees two-theta, in order of rising 2θ:
- 33.07 deg, rel. 97
- 33.49 deg, rel. 100
- 47.78 deg, rel. 35
- 55.01 deg, rel. 8
- 59.60 deg, rel. 36
- 59.87 deg, rel. 19
- 65.96 deg, rel. 28
- 70.37 deg, rel. 12
- 79.98 deg, rel. 15
- 85.68 deg, rel. 14


# 11
Starting from a structure optimized by DFT (PBE), the powder diffraction line list of HgPd was calculated for a wavelength of 1.5418 Å.
No peak broadening, texture or thermal motion is included.

Crystal structure
a = 3.0828 Å, b = 3.0828 Å, c = 3.8279 Å
α = 90.00°, β = 90.00°, γ = 90.00°
Positions (direct):
Hg1 0.0000 0.0000 0.0000
Pd1 0.5000 0.5000 0.5000

Top 10 peaks for 10 to 90 degrees two-theta, in order of rising 2θ:
- 23.24 deg, rel. 7
- 28.96 deg, rel. 8
- 37.46 deg, rel. 100
- 41.42 deg, rel. 38
- 47.51 deg, rel. 13
- 60.02 deg, rel. 13
- 64.83 deg, rel. 20
- 72.93 deg, rel. 29
- 79.91 deg, rel. 11
- 81.67 deg, rel. 11


# 12
Starting from a structure optimized by DFT (PBE), the powder diffraction line list of ThCuO3 was calculated for a wavelength of 1.5418 Å.
No peak broadening, texture or thermal motion is included.

Crystal structure
a = 3.8683 Å, b = 3.8683 Å, c = 3.8683 Å
α = 90.00°, β = 90.00°, γ = 90.00°
Positions (direct):
Th1 0.0000 0.0000 0.0000
Cu1 0.5000 0.5000 0.5000
O1 0.0000 0.5000 0.5000
O2 0.5000 0.0000 0.5000
O3 0.5000 0.5000 0.0000

Top 10 peaks for 10 to 90 degrees two-theta, in order of rising 2θ:
- 22.99 deg, rel. 28
- 32.74 deg, rel. 100
- 40.39 deg, rel. 20
- 46.98 deg, rel. 28
- 52.93 deg, rel. 14
- 58.44 deg, rel. 40
- 68.62 deg, rel. 17
- 73.44 deg, rel. 7
- 78.13 deg, rel. 17
- 82.75 deg, rel. 8


# 13
Starting from a structure optimized by DFT (PBE), the powder diffraction line list of PaB3 was calculated for a wavelength of 1.5418 Å.
No peak broadening, texture or thermal motion is included.

Crystal structure
a = 5.4525 Å, b = 5.4525 Å, c = 3.4396 Å
α = 90.00°, β = 90.00°, γ = 120.00°
Positions (direct):
Pa1 0.3333 0.6667 0.2500
Pa2 0.6667 0.3333 0.7500
B1 0.1126 0.2252 0.7500
B2 0.1126 0.8874 0.7500
B3 0.2252 0.1126 0.2500
B4 0.7748 0.8874 0.7500
B5 0.8874 0.1126 0.2500
B6 0.8874 0.7748 0.2500

Top 10 peaks for 10 to 90 degrees two-theta, in order of rising 2θ:
- 18.79 deg, rel. 45
- 32.20 deg, rel. 100
- 32.85 deg, rel. 65
- 38.12 deg, rel. 12
- 46.66 deg, rel. 42
- 51.18 deg, rel. 11
- 58.24 deg, rel. 36
- 58.65 deg, rel. 12
- 64.01 deg, rel. 20
- 78.08 deg, rel. 19